1.
The following is a computed X-ray powder pattern of La10Er9S27. It was derived from the PBE geometry in OQMD, using CuKα.
Peak positions follow from Bragg's law for the DFT cell and can differ from measured ones.

Structure:
abc: 15.024 15.024 21.829
angles: 121.78 121.78 15.07
Element x y z (fractional)
La: 0.043 0.043 0.192
La: 0.116 0.116 0.892
La: 0.128 0.128 0.709
La: 0.181 0.181 0.397
La: 0.199 0.199 0.220
La: 0.801 0.801 0.780
La: 0.819 0.819 0.603
La: 0.872 0.872 0.291
La: 0.884 0.884 0.108
La: 0.957 0.957 0.808
Er: 0.000 0.000 0.500
Er: 0.180 0.180 0.576
Er: 0.248 0.248 0.087
Er: 0.427 0.427 0.972
Er: 0.474 0.474 0.640
Er: 0.526 0.526 0.360
Er: 0.573 0.573 0.028
Er: 0.752 0.752 0.913
Er: 0.820 0.820 0.424
S: 0.000 0.000 0.000
S: 0.026 0.026 0.735
S: 0.076 0.076 0.464
S: 0.141 0.141 0.053
S: 0.246 0.246 0.820
S: 0.285 0.285 0.669
S: 0.299 0.299 0.493
S: 0.301 0.301 0.015
S: 0.323 0.323 0.341
S: 0.356 0.356 0.185
S: 0.393 0.393 0.832
S: 0.406 0.406 0.686
S: 0.452 0.452 0.399
S: 0.459 0.459 0.115
S: 0.541 0.541 0.885
S: 0.548 0.548 0.601
S: 0.594 0.594 0.314
S: 0.607 0.607 0.168
S: 0.644 0.644 0.815
S: 0.677 0.677 0.659
S: 0.699 0.699 0.985
S: 0.701 0.701 0.507
S: 0.715 0.715 0.331
S: 0.754 0.754 0.180
S: 0.859 0.859 0.947
S: 0.924 0.924 0.536
S: 0.974 0.974 0.265

The 8 most intense peaks (2θ from 10° to 90°), low angle first:
d = 3.699 Å, rel. 95; d = 3.482 Å, rel. 93; d = 3.445 Å, rel. 100; d = 2.889 Å, rel. 37; d = 2.560 Å, rel. 47; d = 2.075 Å, rel. 36; d = 1.970 Å, rel. 47; d = 1.740 Å, rel. 37

2.
The following is a computed X-ray powder pattern of Sr2H6PdAu. It was derived from the PBE geometry in OQMD, using CuKα.
Peak positions follow from Bragg's law for the DFT cell and can differ from measured ones.

Structure:
abc: 5.490 5.490 5.490
angles: 60.00 60.00 60.00
Element x y z (fractional)
Sr: 0.250 0.250 0.250
Sr: 0.750 0.750 0.750
H: 0.237 0.237 0.763
H: 0.237 0.763 0.237
H: 0.237 0.763 0.763
H: 0.763 0.237 0.237
H: 0.763 0.237 0.763
H: 0.763 0.763 0.237
Pd: 0.000 0.000 0.000
Au: 0.500 0.500 0.500

The 8 most intense peaks (2θ from 10° to 90°), low angle first:
d = 4.482 Å, rel. 7; d = 3.882 Å, rel. 9; d = 2.745 Å, rel. 100; d = 2.341 Å, rel. 5; d = 1.941 Å, rel. 19; d = 1.585 Å, rel. 38; d = 1.372 Å, rel. 12; d = 1.228 Å, rel. 17

3.
The following is a computed X-ray powder pattern of Tb2GdCd3Ag3. It was derived from the PBE geometry in OQMD, using CuKα.
Peak positions follow from Bragg's law for the DFT cell and can differ from measured ones.

Structure:
abc: 3.921 7.880 7.880
angles: 120.03 90.00 90.00
Element x y z (fractional)
Tb: 0.000 0.202 0.798
Tb: 0.000 0.798 0.202
Gd: 0.000 0.607 0.607
Cd: 0.500 0.202 0.465
Cd: 0.500 0.465 0.202
Cd: 0.500 0.940 0.940
Ag: 0.000 0.202 0.202
Ag: 0.500 0.535 0.870
Ag: 0.500 0.870 0.535

The 8 most intense peaks (2θ from 10° to 90°), low angle first:
d = 2.779 Å, rel. 79; d = 2.575 Å, rel. 100; d = 2.274 Å, rel. 34; d = 2.155 Å, rel. 17; d = 1.961 Å, rel. 17; d = 1.561 Å, rel. 14; d = 1.485 Å, rel. 17; d = 1.454 Å, rel. 25

4.
The following is a computed X-ray powder pattern of YSc2In3PtAu2. It was derived from the PBE geometry in OQMD, using CuKα.
Peak positions follow from Bragg's law for the DFT cell and can differ from measured ones.

Structure:
abc: 3.726 7.698 7.698
angles: 120.28 90.00 90.00
Element x y z (fractional)
Y: 0.000 0.000 0.000
Sc: 0.000 0.207 0.602
Sc: 0.000 0.602 0.207
In: 0.500 0.339 0.339
In: 0.500 0.599 0.866
In: 0.500 0.866 0.599
Pt: 0.000 0.598 0.598
Au: 0.500 0.274 0.933
Au: 0.500 0.933 0.274

The 8 most intense peaks (2θ from 10° to 90°), low angle first:
d = 3.843 Å, rel. 65; d = 3.252 Å, rel. 40; d = 2.675 Å, rel. 60; d = 2.482 Å, rel. 100; d = 2.225 Å, rel. 28; d = 2.216 Å, rel. 50; d = 2.087 Å, rel. 55; d = 1.415 Å, rel. 28

5.
The following is a computed X-ray powder pattern of PdF2. It was derived from the PBE geometry in OQMD, using CuKα.
Peak positions follow from Bragg's law for the DFT cell and can differ from measured ones.

Structure:
abc: 4.230 4.230 7.944
angles: 90.00 90.00 120.00
Element x y z (fractional)
Pd: 0.000 0.581 0.167
Pd: 0.419 0.419 0.500
Pd: 0.581 0.000 0.833
F: 0.172 0.676 0.405
F: 0.324 0.495 0.738
F: 0.495 0.324 0.262
F: 0.505 0.828 0.072
F: 0.676 0.172 0.595
F: 0.828 0.505 0.928

The 8 most intense peaks (2θ from 10° to 90°), low angle first:
d = 3.664 Å, rel. 20; d = 3.327 Å, rel. 100; d = 2.693 Å, rel. 34; d = 2.648 Å, rel. 17; d = 2.115 Å, rel. 19; d = 2.044 Å, rel. 23; d = 1.746 Å, rel. 24; d = 1.653 Å, rel. 15

6.
The following is a computed X-ray powder pattern of NaSrSmSe3. It was derived from the PBE geometry in OQMD, using CuKα.
Peak positions follow from Bragg's law for the DFT cell and can differ from measured ones.

Structure:
abc: 9.280 9.280 9.111
angles: 104.64 104.64 26.22
Element x y z (fractional)
Na: 0.004 0.004 0.203
Na: 0.996 0.996 0.797
Sr: 0.366 0.366 0.434
Sr: 0.634 0.634 0.566
Sm: 0.333 0.333 0.910
Sm: 0.667 0.667 0.090
Se: 0.000 0.000 0.500
Se: 0.167 0.167 0.859
Se: 0.179 0.179 0.320
Se: 0.500 0.500 0.000
Se: 0.821 0.821 0.680
Se: 0.833 0.833 0.141

The 8 most intense peaks (2θ from 10° to 90°), low angle first:
d = 8.762 Å, rel. 32; d = 4.409 Å, rel. 21; d = 3.092 Å, rel. 100; d = 2.909 Å, rel. 62; d = 2.278 Å, rel. 26; d = 2.124 Å, rel. 23; d = 2.113 Å, rel. 25; d = 2.105 Å, rel. 25

7.
The following is a computed X-ray powder pattern of Na4InSiPt2. It was derived from the PBE geometry in OQMD, using CuKα.
Peak positions follow from Bragg's law for the DFT cell and can differ from measured ones.

Structure:
abc: 4.623 4.623 6.841
angles: 90.00 90.00 90.00
Element x y z (fractional)
Na: 0.000 0.000 0.000
Na: 0.000 0.500 0.737
Na: 0.500 0.000 0.263
Na: 0.500 0.500 0.500
In: 0.500 0.500 0.000
Si: 0.000 0.000 0.500
Pt: 0.000 0.500 0.280
Pt: 0.500 0.000 0.720

The 8 most intense peaks (2θ from 10° to 90°), low angle first:
d = 3.831 Å, rel. 100; d = 3.269 Å, rel. 16; d = 2.363 Å, rel. 87; d = 2.312 Å, rel. 45; d = 2.045 Å, rel. 14; d = 1.979 Å, rel. 34; d = 1.635 Å, rel. 15; d = 1.344 Å, rel. 28

8.
The following is a computed X-ray powder pattern of ReHg2O4. It was derived from the PBE geometry in OQMD, using CuKα.
Peak positions follow from Bragg's law for the DFT cell and can differ from measured ones.

Structure:
abc: 8.740 8.031 6.266
angles: 74.22 62.16 43.62
Element x y z (fractional)
Re: 0.125 0.125 0.125
Re: 0.875 0.875 0.875
Hg: 0.237 0.513 0.237
Hg: 0.487 0.763 0.487
Hg: 0.513 0.237 0.513
Hg: 0.763 0.487 0.763
O: 0.161 0.228 0.296
O: 0.185 0.704 0.772
O: 0.228 0.161 0.815
O: 0.296 0.815 0.161
O: 0.704 0.185 0.839
O: 0.772 0.839 0.185
O: 0.815 0.296 0.228
O: 0.839 0.772 0.704

The 8 most intense peaks (2θ from 10° to 90°), low angle first:
d = 3.564 Å, rel. 60; d = 3.284 Å, rel. 100; d = 3.000 Å, rel. 68; d = 2.577 Å, rel. 39; d = 2.089 Å, rel. 29; d = 1.999 Å, rel. 27; d = 1.972 Å, rel. 21; d = 1.642 Å, rel. 20

9.
The following is a computed X-ray powder pattern of Sb2Pd2Pb3. It was derived from the PBE geometry in OQMD, using CuKα.
Peak positions follow from Bragg's law for the DFT cell and can differ from measured ones.

Structure:
abc: 9.383 9.383 9.383
angles: 29.72 29.72 29.72
Element x y z (fractional)
Sb: 0.000 0.000 0.000
Sb: 0.399 0.399 0.399
Pd: 0.170 0.170 0.170
Pd: 0.696 0.696 0.696
Pb: 0.274 0.274 0.274
Pb: 0.537 0.537 0.537
Pb: 0.803 0.803 0.803

The 8 most intense peaks (2θ from 10° to 90°), low angle first:
d = 3.542 Å, rel. 37; d = 2.824 Å, rel. 52; d = 2.616 Å, rel. 47; d = 2.406 Å, rel. 100; d = 2.108 Å, rel. 24; d = 1.771 Å, rel. 15; d = 1.426 Å, rel. 15; d = 1.389 Å, rel. 18

10.
The following is a computed X-ray powder pattern of Pm7SiI12. It was derived from the PBE geometry in OQMD, using CuKα.
Peak positions follow from Bragg's law for the DFT cell and can differ from measured ones.

Structure:
abc: 9.916 9.916 9.916
angles: 107.81 107.81 107.81
Element x y z (fractional)
Pm: 0.000 0.000 0.000
Pm: 0.188 0.468 0.397
Pm: 0.397 0.188 0.468
Pm: 0.468 0.397 0.188
Pm: 0.532 0.603 0.812
Pm: 0.603 0.812 0.532
Pm: 0.812 0.532 0.603
Si: 0.500 0.500 0.500
I: 0.031 0.111 0.346
I: 0.111 0.346 0.031
I: 0.187 0.578 0.731
I: 0.269 0.813 0.422
I: 0.346 0.031 0.111
I: 0.422 0.269 0.813
I: 0.578 0.731 0.187
I: 0.654 0.969 0.889
I: 0.731 0.187 0.578
I: 0.813 0.422 0.269
I: 0.889 0.654 0.969
I: 0.969 0.889 0.654

The 8 most intense peaks (2θ from 10° to 90°), low angle first:
d = 8.013 Å, rel. 14; d = 3.622 Å, rel. 13; d = 3.125 Å, rel. 100; d = 2.222 Å, rel. 37; d = 2.197 Å, rel. 36; d = 1.811 Å, rel. 19; d = 1.404 Å, rel. 15; d = 1.391 Å, rel. 14

11.
The following is a computed X-ray powder pattern of Er4Co7Ge6. It was derived from the PBE geometry in OQMD, using CuKα.
Peak positions follow from Bragg's law for the DFT cell and can differ from measured ones.

Structure:
abc: 7.000 7.000 7.000
angles: 109.47 109.47 109.47
Element x y z (fractional)
Er: 0.000 0.000 0.500
Er: 0.000 0.500 0.000
Er: 0.500 0.000 0.000
Er: 0.500 0.500 0.500
Co: 0.000 0.000 0.000
Co: 0.250 0.500 0.750
Co: 0.250 0.750 0.500
Co: 0.500 0.250 0.750
Co: 0.500 0.750 0.250
Co: 0.750 0.250 0.500
Co: 0.750 0.500 0.250
Ge: 0.000 0.325 0.325
Ge: 0.000 0.675 0.675
Ge: 0.325 0.000 0.325
Ge: 0.325 0.325 0.000
Ge: 0.675 0.000 0.675
Ge: 0.675 0.675 0.000

The 8 most intense peaks (2θ from 10° to 90°), low angle first:
d = 2.858 Å, rel. 57; d = 2.333 Å, rel. 100; d = 2.021 Å, rel. 58; d = 1.807 Å, rel. 20; d = 1.429 Å, rel. 27; d = 1.347 Å, rel. 16; d = 1.278 Å, rel. 19; d = 1.218 Å, rel. 24

12.
The following is a computed X-ray powder pattern of Hf2ReSb. It was derived from the PBE geometry in OQMD, using CuKα.
Peak positions follow from Bragg's law for the DFT cell and can differ from measured ones.

Structure:
abc: 6.742 6.742 6.742
angles: 90.00 90.00 90.00
Element x y z (fractional)
Hf: 0.000 0.000 0.000
Hf: 0.000 0.500 0.500
Hf: 0.250 0.250 0.250
Hf: 0.250 0.750 0.750
Hf: 0.500 0.000 0.500
Hf: 0.500 0.500 0.000
Hf: 0.750 0.250 0.750
Hf: 0.750 0.750 0.250
Re: 0.250 0.250 0.750
Re: 0.250 0.750 0.250
Re: 0.750 0.250 0.250
Re: 0.750 0.750 0.750
Sb: 0.000 0.000 0.500
Sb: 0.000 0.500 0.000
Sb: 0.500 0.000 0.000
Sb: 0.500 0.500 0.500

The 7 most intense peaks (2θ from 10° to 90°), low angle first:
d = 3.892 Å, rel. 2; d = 3.371 Å, rel. 1; d = 2.384 Å, rel. 100; d = 2.033 Å, rel. 1; d = 1.685 Å, rel. 17; d = 1.376 Å, rel. 36; d = 1.192 Å, rel. 11